Computed powder XRD pattern
Compound: RbPuCo2O8
Radiation: CuKα
Structure: DFT lattice parameters and positions (PBE+U)
No peak broadening, texture or thermal motion is included.

Main lines, by intensity (10 to 80 degrees two-theta):
d (Å), I (rel.)
3.659, 100
2.770, 78
1.891, 61
4.884, 55
5.175, 32
2.587, 23
2.928, 19
1.830, 17
1.527, 17
1.315, 16
1.636, 16
1.496, 13

Crystal structure
```
RbPuCo2O8
1.0
-3.6592 3.6592 3.2786
3.6592 -3.6592 3.2786
3.6592 3.6592 -3.2786
Rb Pu Co O
1 1 2 8
direct
0.0000 0.0000 0.0000
0.2500 0.7500 0.5000
0.5000 0.5000 0.0000
0.7500 0.2500 0.5000
0.3390 0.1031 0.7641
0.3390 0.5749 0.2359
0.4058 0.0665 0.3394
0.4251 0.6610 0.7641
0.7271 0.0665 0.6606
0.8969 0.6610 0.2359
0.9335 0.2729 0.3394
0.9335 0.5942 0.6606
```